Entry 1:
Starting from a structure optimized by DFT (PBE), the powder XRD pattern of La3ScIn6 was calculated for Cu Kα X-rays.
Peak positions follow from Bragg's law for the DFT cell and can differ from measured ones.

a b c (Å): 8.4550 8.4550 8.4550
angles (deg): 97.69 97.69 97.69
Sites, in units of the cell vectors:
La (0.1944, 0.7500, 0.3056)
La (0.2500, 0.6944, 0.8056)
La (0.3056, 0.1944, 0.7500)
La (0.6944, 0.8056, 0.2500)
La (0.7500, 0.3056, 0.1944)
La (0.8056, 0.2500, 0.6944)
Sc (0.0000, 0.0000, 0.0000)
Sc (0.5000, 0.5000, 0.5000)
In (0.0342, 0.0828, 0.3628)
In (0.0828, 0.3628, 0.0342)
In (0.1372, 0.4172, 0.4658)
In (0.3628, 0.0342, 0.0828)
In (0.4172, 0.4658, 0.1372)
In (0.4658, 0.1372, 0.4172)
In (0.5342, 0.8628, 0.5828)
In (0.5828, 0.5342, 0.8628)
In (0.6372, 0.9658, 0.9172)
In (0.8628, 0.5828, 0.5342)
In (0.9172, 0.6372, 0.9658)
In (0.9658, 0.9172, 0.6372)

Top 8 peaks for 2θ = 10–90°, by intensity:
2θ 32.58, I 100
2θ 30.08, I 64
2θ 32.88, I 47
2θ 48.15, I 23
2θ 29.64, I 22
2θ 43.39, I 21
2θ 62.39, I 20
2θ 24.21, I 18

***

Entry 2:
Starting from a structure optimized by DFT (PBE), the powder XRD pattern of Li3PrMg9 was calculated for Cu Kα X-rays.
Peak positions follow from Bragg's law for the DFT cell and can differ from measured ones.

a b c (Å): 7.8478 7.8478 7.7916
angles (deg): 96.89 96.89 138.85
Sites, in units of the cell vectors:
Li (0.0000, 0.0000, 0.0000)
Li (0.0000, 0.5000, 0.5000)
Li (0.5000, 0.0000, 0.5000)
Pr (0.5000, 0.5000, 0.5000)
Mg (0.0093, 0.7925, 0.2893)
Mg (0.1486, 0.5045, 0.1505)
Mg (0.2075, 0.9907, 0.7107)
Mg (0.4955, 0.8514, 0.8495)
Mg (0.5000, 0.5000, 0.0000)
Mg (0.5045, 0.1486, 0.1505)
Mg (0.7925, 0.0093, 0.2893)
Mg (0.8514, 0.4955, 0.8495)
Mg (0.9907, 0.2075, 0.7107)

Top 8 peaks for 2θ = 10–90°, by intensity:
2θ 35.06, I 100
2θ 12.06, I 87
2θ 17.09, I 78
2θ 34.59, I 57
2θ 24.99, I 55
2θ 30.65, I 55
2θ 27.19, I 50
2θ 18.14, I 46

***

Entry 3:
Starting from a structure optimized by DFT (PBE), the powder XRD pattern of K3TlAu2 was calculated for Cu Kα X-rays.
Peak positions follow from Bragg's law for the DFT cell and can differ from measured ones.

a b c (Å): 9.8278 10.7242 10.1491
angles (deg): 90.00 121.00 90.00
Sites, in units of the cell vectors:
K (0.1837, 0.2110, 0.3423)
K (0.1837, 0.2890, 0.8423)
K (0.2471, 0.5429, 0.5703)
K (0.2471, 0.9571, 0.0703)
K (0.2490, 0.5411, 0.1778)
K (0.2490, 0.9589, 0.6778)
K (0.7510, 0.0411, 0.3222)
K (0.7510, 0.4589, 0.8222)
K (0.7529, 0.0429, 0.9297)
K (0.7529, 0.4571, 0.4297)
K (0.8163, 0.7110, 0.1577)
K (0.8163, 0.7890, 0.6577)
Tl (0.4137, 0.6507, 0.9567)
Tl (0.4137, 0.8493, 0.4567)
Tl (0.5863, 0.1507, 0.5433)
Tl (0.5863, 0.3493, 0.0433)
Au (0.0736, 0.5739, 0.7875)
Au (0.0736, 0.9261, 0.2875)
Au (0.4568, 0.2496, 0.2285)
Au (0.4568, 0.2504, 0.7285)
Au (0.5432, 0.7496, 0.2715)
Au (0.5432, 0.7504, 0.7715)
Au (0.9264, 0.0739, 0.7125)
Au (0.9264, 0.4261, 0.2125)

Top 8 peaks for 2θ = 10–90°, by intensity:
2θ 19.63, I 100
2θ 13.11, I 84
2θ 19.45, I 57
2θ 37.50, I 50
2θ 10.50, I 48
2θ 26.95, I 48
2θ 32.27, I 45
2θ 35.38, I 45

***

Entry 4:
Starting from a structure optimized by DFT (PBE), the powder XRD pattern of La4Al6O15 was calculated for Cu Kα X-rays.
Peak positions follow from Bragg's law for the DFT cell and can differ from measured ones.

a b c (Å): 6.9557 6.9557 21.1865
angles (deg): 92.56 92.56 42.73
Sites, in units of the cell vectors:
La (0.0572, 0.6681, 0.7018)
La (0.0794, 0.6341, 0.8988)
La (0.3319, 0.9428, 0.7982)
La (0.3659, 0.9206, 0.6012)
La (0.6341, 0.0794, 0.3988)
La (0.6681, 0.0572, 0.2018)
La (0.9206, 0.3659, 0.1012)
La (0.9428, 0.3319, 0.2982)
Al (0.0203, 0.6520, 0.5270)
Al (0.1858, 0.6557, 0.3060)
Al (0.2008, 0.6269, 0.0862)
Al (0.3443, 0.8142, 0.1940)
Al (0.3480, 0.9797, 0.9730)
Al (0.3731, 0.7992, 0.4138)
Al (0.6269, 0.2008, 0.5862)
Al (0.6520, 0.0203, 0.0270)
Al (0.6557, 0.1858, 0.8060)
Al (0.7992, 0.3731, 0.9138)
Al (0.8142, 0.3443, 0.6940)
Al (0.9797, 0.3480, 0.4730)
O (0.0022, 0.6301, 0.1371)
O (0.0200, 0.7471, 0.0122)
O (0.0906, 0.3085, 0.7069)
O (0.1187, 0.8813, 0.2500)
O (0.1201, 0.4754, 0.4511)
O (0.1258, 0.8148, 0.3804)
O (0.1852, 0.8742, 0.1196)
O (0.2529, 0.9800, 0.4878)
O (0.2793, 0.5523, 0.5819)
O (0.3085, 0.0906, 0.2069)
O (0.3151, 0.5357, 0.8033)
O (0.3699, 0.9978, 0.3629)
O (0.4477, 0.7207, 0.9181)
O (0.4643, 0.6849, 0.6967)
O (0.4754, 0.1201, 0.9511)
O (0.5246, 0.8799, 0.0489)
O (0.5357, 0.3151, 0.3033)
O (0.5523, 0.2793, 0.0819)
O (0.6301, 0.0022, 0.6371)
O (0.6849, 0.4643, 0.1967)
O (0.6915, 0.9094, 0.7931)
O (0.7207, 0.4477, 0.4181)
O (0.7471, 0.0200, 0.5122)
O (0.8148, 0.1258, 0.8804)
O (0.8742, 0.1852, 0.6196)
O (0.8799, 0.5246, 0.5489)
O (0.8813, 0.1187, 0.7500)
O (0.9094, 0.6915, 0.2931)
O (0.9800, 0.2529, 0.9878)
O (0.9978, 0.3699, 0.8629)

Top 8 peaks for 2θ = 10–90°, by intensity:
2θ 28.07, I 100
2θ 27.59, I 100
2θ 28.58, I 79
2θ 27.32, I 78
2θ 19.34, I 58
2θ 35.42, I 47
2θ 42.70, I 42
2θ 43.93, I 32

***

Entry 5:
Starting from a structure optimized by DFT (PBE), the powder XRD pattern of CeMgAu2 was calculated for Cu Kα X-rays.
Peak positions follow from Bragg's law for the DFT cell and can differ from measured ones.

a b c (Å): 5.0072 5.0072 5.0072
angles (deg): 60.00 60.00 60.00
Sites, in units of the cell vectors:
Ce (0.0000, 0.0000, 0.0000)
Mg (0.5000, 0.5000, 0.5000)
Au (0.2500, 0.2500, 0.2500)
Au (0.7500, 0.7500, 0.7500)

Top 8 peaks for 2θ = 10–90°, by intensity:
2θ 35.87, I 100
2θ 64.46, I 37
2θ 25.15, I 20
2θ 51.63, I 18
2θ 87.03, I 17
2θ 76.03, I 12
2θ 21.74, I 10
2θ 58.27, I 9